For KMo12S14, a DFT-relaxed cell (GGA-PBE, Alexandria) gives the theoretical powder XRD pattern in this record (λ = 1.5418 Å (Cu Kα)).
Kinematic intensities with the Lorentz-polarization factor, no thermal factor.

Cell and atoms:
a = 9.264 Å, b = 9.264 Å, c = 16.469 Å
α = 90.00°, β = 90.00°, γ = 120.00°
Fractional positions:
K 0.333 0.667 0.250
K 0.667 0.333 0.750
Mo 0.158 0.505 0.958
Mo 0.158 0.653 0.542
Mo 0.165 0.496 0.684
Mo 0.165 0.669 0.816
Mo 0.331 0.496 0.816
Mo 0.331 0.835 0.684
Mo 0.347 0.505 0.542
Mo 0.347 0.842 0.958
Mo 0.495 0.653 0.958
Mo 0.495 0.842 0.542
Mo 0.496 0.165 0.184
Mo 0.496 0.331 0.316
Mo 0.504 0.669 0.684
Mo 0.504 0.835 0.816
Mo 0.505 0.158 0.458
Mo 0.505 0.347 0.042
Mo 0.653 0.158 0.042
Mo 0.653 0.495 0.458
Mo 0.669 0.165 0.316
Mo 0.669 0.504 0.184
Mo 0.835 0.331 0.184
Mo 0.835 0.504 0.316
Mo 0.842 0.347 0.458
Mo 0.842 0.495 0.042
S 0.022 0.362 0.819
S 0.022 0.661 0.681
S 0.043 0.351 0.557
S 0.043 0.691 0.943
S 0.309 0.351 0.943
S 0.309 0.957 0.557
S 0.333 0.667 0.068
S 0.333 0.667 0.432
S 0.339 0.362 0.681
S 0.339 0.978 0.819
S 0.351 0.043 0.057
S 0.351 0.309 0.443
S 0.362 0.022 0.319
S 0.362 0.339 0.181
S 0.638 0.661 0.819
S 0.638 0.978 0.681
S 0.649 0.691 0.557
S 0.649 0.957 0.943
S 0.661 0.022 0.181
S 0.661 0.638 0.319
S 0.667 0.333 0.568
S 0.667 0.333 0.932
S 0.691 0.043 0.443
S 0.691 0.649 0.057
S 0.957 0.309 0.057
S 0.957 0.649 0.443
S 0.978 0.339 0.319
S 0.978 0.638 0.181

Most intense lines, 2θ from 10° to 90°, in order of rising 2θ:
hkl, d_spacing, Rel. int.
1 0 0, 8.023, 1000
1 0 1, 7.213, 922
2 1 1, 2.982, 165
2 1 3, 2.654, 244
3 -1 4, 2.442, 87
2 2 0, 2.316, 87
1 0 7, 2.258, 194
0 0 8, 2.061, 253
4 -2 4, 2.019, 413
3 2 3, 1.745, 96
2 2 10, 1.342, 77
6 0 0, 1.337, 74